[1]
The following is a theoretical X-ray diffraction stick pattern of CsKHg2F8. It was derived from DFT lattice parameters and positions (GGA-PBE), using Cu Kα.
Kinematic intensities with the Lorentz-polarization factor, no thermal factor.

Cell and atoms:
Unit cell a=6.3485 b=6.3485 c=10.4640 alpha=90.00 beta=90.00 gamma=90.00
Space group I-4 (No. 82)
Unique sites:
Cs 0.0000 0.0000 0.0000
K 0.0000 0.5000 0.7500
Hg 0.0000 0.0000 0.5000
Hg 0.0000 0.5000 0.2500
F 0.1990 0.2294 0.3691
F 0.1995 0.7718 0.3698

Top 10 peaks for 2θ from 15° to 90°, low angle first:
Position (°2θ)  Rel. int.
16.33  33
26.16  100
28.11  23
40.18  24
44.90  35
48.57  38
53.82  9
56.62  12
71.68  12
76.32  12

---

[2]
The following is a theoretical X-ray diffraction stick pattern of Cs2LiHg3F12. It was derived from DFT lattice parameters and positions (GGA-PBE), using Cu Kα.
Kinematic intensities with the Lorentz-polarization factor, no thermal factor.

Cell and atoms:
Unit cell a=8.2487 b=8.2487 c=17.8678 alpha=90.00 beta=90.00 gamma=120.00
Space group R-3m (No. 166, hexagonal axes)
Unique sites:
Cs 0.0000 0.0000 0.1355
Li 0.0000 0.0000 0.5000
Hg 0.0000 0.5000 0.0000
F 0.0647 0.5324 0.3708
F 0.0854 0.5427 0.1102

Top 10 peaks for 2θ from 15° to 90°, low angle first:
Position (°2θ)  Rel. int.
15.88  26
23.49  31
25.43  100
26.28  61
26.88  52
40.81  21
43.58  26
43.91  38
48.04  30
54.09  22

---

[3]
The following is a theoretical X-ray diffraction stick pattern of Cs2LiHg2F6. It was derived from DFT lattice parameters and positions (GGA-PBE), using Cu Kα.
Kinematic intensities with the Lorentz-polarization factor, no thermal factor.

Cell and atoms:
Unit cell a=12.3258 b=6.2788 c=7.1842 alpha=90.00 beta=121.49 gamma=90.00
Space group C2/m (No. 12)
Unique sites:
Cs 0.2176 0.0000 0.1709
Li 0.0000 0.0000 0.5000
Hg 0.0506 0.5000 0.2240
F 0.0550 0.2272 0.7376
F 0.2410 0.0000 0.6103

Top 10 peaks for 2θ from 15° to 90°, low angle first:
Position (°2θ)  Rel. int.
15.45  23
16.45  73
25.95  100
28.43  43
29.17  69
29.43  59
32.51  18
40.40  31
41.17  33
50.93  31

---

[4]
The following is a theoretical X-ray diffraction stick pattern of Cs2Li2HgF6. It was derived from DFT lattice parameters and positions (GGA-PBE), using Cu Kα.
Kinematic intensities with the Lorentz-polarization factor, no thermal factor.

Cell and atoms:
Unit cell a=10.9863 b=6.2520 c=6.8183 alpha=90.00 beta=117.13 gamma=90.00
Space group C2/m (No. 12)
Unique sites:
Cs 0.2161 0.0000 0.1695
Li 0.0786 0.5000 0.2611
Hg 0.0000 0.0000 0.5000
F 0.0150 0.2547 0.7616
F 0.2440 0.0000 0.6790

Top 10 peaks for 2θ from 15° to 90°, low angle first:
Position (°2θ)  Rel. int.
16.83  100
17.34  33
24.96  85
26.59  37
28.18  35
28.33  91
28.55  45
30.17  78
39.41  54
40.55  33

---

[5]
The following is a theoretical X-ray diffraction stick pattern of CsLiHg2F8. It was derived from DFT lattice parameters and positions (GGA-PBE), using Cu Kα.
Kinematic intensities with the Lorentz-polarization factor, no thermal factor.

Cell and atoms:
Unit cell a=4.8152 b=5.0085 c=9.1545 alpha=93.16 beta=91.22 gamma=92.66
Space group P-1 (No. 2)
Unique sites:
Cs 0.0000 0.0000 0.0000
Li 0.0000 0.0000 0.5000
Hg 0.4613 0.5022 0.3078
F 0.1344 0.2168 0.3231
F 0.2017 0.2228 0.7018
F 0.3153 0.7335 0.4884
F 0.4511 0.6903 0.8918

Top 10 peaks for 2θ from 15° to 90°, low angle first:
Position (°2θ)  Rel. int.
17.76  48
18.45  45
19.77  39
20.69  74
25.09  100
25.67  61
26.33  77
27.22  92
29.32  51
39.41  43

---

[6]
The following is a theoretical X-ray diffraction stick pattern of Cs3Na3HgF8. It was derived from DFT lattice parameters and positions (GGA-PBE), using Cu Kα.
Kinematic intensities with the Lorentz-polarization factor, no thermal factor.

Cell and atoms:
Unit cell a=7.3504 b=7.3504 c=19.8816 alpha=90.00 beta=90.00 gamma=120.00
Space group R-3m (No. 166, hexagonal axes)
Unique sites:
Cs 0.0000 0.5000 0.0000
Na 0.0000 0.5000 0.5000
Hg 0.0000 0.0000 0.5000
F 0.0000 0.0000 0.2303
F 0.0122 0.5061 0.2270

Top 10 peaks for 2θ from 15° to 90°, low angle first:
Position (°2θ)  Rel. int.
26.43  26
26.91  28
27.76  47
29.47  56
33.43  100
37.66  20
46.35  33
49.62  43
57.33  22
61.15  16

---

[7]
The following is a theoretical X-ray diffraction stick pattern of Cs2NaHgF. It was derived from DFT lattice parameters and positions (GGA-PBE), using Cu Kα.
Kinematic intensities with the Lorentz-polarization factor, no thermal factor.

Cell and atoms:
Unit cell a=5.7746 b=5.7746 c=6.7293 alpha=90.00 beta=90.00 gamma=90.00
Space group P4/mmm (No. 123)
Unique sites:
Cs 0.0000 0.5000 0.0000
Na 0.0000 0.0000 0.5000
Hg 0.5000 0.5000 0.5000
F 0.5000 0.5000 0.0000

Top 10 peaks for 2θ from 15° to 90°, low angle first:
Position (°2θ)  Rel. int.
15.34  28
20.26  18
25.52  100
26.49  27
30.97  36
41.20  33
46.17  20
51.88  29
52.42  16
65.96  14

---

[8]
The following is a theoretical X-ray diffraction stick pattern of CsNdHg2F8. It was derived from DFT lattice parameters and positions (GGA-PBE), using Cu Kα.
Kinematic intensities with the Lorentz-polarization factor, no thermal factor.

Cell and atoms:
Unit cell a=5.8332 b=5.8332 c=9.3199 alpha=90.00 beta=90.00 gamma=120.00
Space group P-3 (No. 147)
Unique sites:
Cs 0.0000 0.0000 0.0000
Nd 0.0000 0.0000 0.5000
Hg 0.3333 0.6667 0.7811
F 0.0305 0.3157 0.6573
F 0.3333 0.6667 0.0074

Top 10 peaks for 2θ from 15° to 90°, low angle first:
Position (°2θ)  Rel. int.
19.99  100
26.01  86
30.65  61
33.87  20
36.87  18
40.63  30
48.68  19
50.11  29
51.74  28
54.49  18

---

[9]
The following is a theoretical X-ray diffraction stick pattern of CsNpHg2F6. It was derived from DFT lattice parameters and positions (GGA-PBE), using Cu Kα.
Kinematic intensities with the Lorentz-polarization factor, no thermal factor.

Cell and atoms:
Unit cell a=6.6053 b=6.6053 c=8.0086 alpha=90.00 beta=90.00 gamma=120.00
Space group P-3m1 (No. 164)
Unique sites:
Cs 0.0000 0.0000 0.0000
Np 0.0000 0.0000 0.5000
Hg 0.3333 0.6667 0.8360
F 0.1433 0.2866 0.3400

Top 10 peaks for 2θ from 15° to 90°, low angle first:
Position (°2θ)  Rel. int.
15.49  27
19.07  97
27.00  90
27.18  100
33.26  35
38.69  37
43.60  27
47.81  49
48.15  21
63.31  22

---

[10]
The following is a theoretical X-ray diffraction stick pattern of Cs4RbHg3F12. It was derived from DFT lattice parameters and positions (GGA-PBE), using Cu Kα.
Kinematic intensities with the Lorentz-polarization factor, no thermal factor.

Cell and atoms:
Unit cell a=9.5428 b=9.5428 c=9.5428 alpha=90.00 beta=90.00 gamma=90.00
Space group Im-3m (No. 229)
Unique sites:
Cs 0.2500 0.2500 0.2500
Rb 0.0000 0.0000 0.0000
Hg 0.0000 0.0000 0.5000
F 0.0000 0.0000 0.2753
F 0.0000 0.2500 0.5000

Top 10 peaks for 2θ from 15° to 90°, low angle first:
Position (°2θ)  Rel. int.
18.60  5
22.83  3
26.42  100
37.71  32
46.63  43
54.39  21
61.45  20
68.07  7
74.39  23
86.55  12

---

[11]
The following is a theoretical X-ray diffraction stick pattern of Cs3Rb3HgF8. It was derived from DFT lattice parameters and positions (GGA-PBE), using Cu Kα.
Kinematic intensities with the Lorentz-polarization factor, no thermal factor.

Cell and atoms:
Unit cell a=8.1438 b=8.1438 c=20.5330 alpha=90.00 beta=90.00 gamma=120.00
Space group R-3m (No. 166, hexagonal axes)
Unique sites:
Cs 0.0000 0.5000 0.0000
Rb 0.0000 0.5000 0.5000
Hg 0.0000 0.0000 0.5000
F 0.0000 0.0000 0.2443
F 0.0523 0.5261 0.2323

Top 10 peaks for 2θ from 15° to 90°, low angle first:
Position (°2θ)  Rel. int.
25.45  18
26.04  26
26.73  72
30.76  100
43.62  35
44.50  34
51.50  14
52.28  26
55.07  17
72.11  14

---

[12]
The following is a theoretical X-ray diffraction stick pattern of Cs2HgRhF6. It was derived from DFT lattice parameters and positions (GGA-PBE), using Cu Kα.
Kinematic intensities with the Lorentz-polarization factor, no thermal factor.

Cell and atoms:
Unit cell a=9.3882 b=9.3972 c=9.4299 alpha=90.00 beta=90.00 gamma=90.00
Space group Fmmm (No. 69)
Unique sites:
Cs 0.2500 0.2500 0.2500
Hg 0.0000 0.0000 0.0000
Rh 0.0000 0.0000 0.5000
F 0.0000 0.0000 0.2879
F 0.0000 0.2131 0.5000
F 0.2133 0.0000 0.5000

Top 10 peaks for 2θ from 15° to 90°, low angle first:
Position (°2θ)  Rel. int.
26.81  100
38.17  10
38.33  20
47.33  27
47.40  14
55.21  13
62.30  7
62.53  14
75.56  8
75.71  11

---

[13]
The following is a theoretical X-ray diffraction stick pattern of Cs3SrHg2F9. It was derived from DFT lattice parameters and positions (GGA-PBE), using Cu Kα.
Kinematic intensities with the Lorentz-polarization factor, no thermal factor.

Cell and atoms:
Unit cell a=6.6695 b=6.6695 c=8.1932 alpha=90.00 beta=90.00 gamma=120.00
Space group P-3m1 (No. 164)
Unique sites:
Cs 0.0000 0.0000 0.0000
Cs 0.3333 0.6667 0.6791
Sr 0.0000 0.0000 0.5000
Hg 0.3333 0.6667 0.1657
F 0.0000 0.5000 0.0000
F 0.1683 0.3366 0.3286

Top 10 peaks for 2θ from 15° to 90°, low angle first:
Position (°2θ)  Rel. int.
26.71  100
38.13  33
47.07  11
47.19  33
54.96  11
55.08  11
62.18  20
75.35  11
75.42  6
87.76  8